No. 1
Diffraction record for NiRh2. The powder X-ray diffraction pattern is simulated, not measured: it uses the GGA-PBE geometry in Alexandria and Cu Kα X-rays.
Intensities are scaled so that the largest is 1000.

Cell and atoms:
Unit cell a=5.319 b=3.762 c=7.964 alpha=90.00 beta=90.00 gamma=90.00
Positions (direct):
Ni 0.125 0.250 0.084
Ni 0.375 0.750 0.584
Ni 0.625 0.250 0.416
Ni 0.875 0.750 0.916
Rh 0.119 0.250 0.752
Rh 0.133 0.250 0.419
Rh 0.367 0.750 0.919
Rh 0.381 0.750 0.252
Rh 0.619 0.250 0.748
Rh 0.633 0.250 0.081
Rh 0.867 0.750 0.581
Rh 0.881 0.750 0.248

Top 10 peaks for 10 to 80 degrees two-theta, low angle first:
2θ (°), d [Å], Rel. int.
20.1, 4.423, 20
26.2, 3.401, 10
28.0, 3.188, 16
31.2, 2.866, 22
37.0, 2.432, 9
41.6, 2.170, 1000
48.4, 1.879, 477
52.9, 1.731, 7
70.9, 1.329, 243
71.0, 1.327, 48

No. 2
Diffraction record for NdSn3Au2. The powder X-ray diffraction pattern is simulated, not measured: it uses the GGA-PBE geometry in Alexandria and Cu Kα X-rays.
Intensities are scaled so that the largest is 1000.

Cell and atoms:
Unit cell a=4.802 b=13.645 c=4.363 alpha=90.00 beta=90.00 gamma=90.00
Positions (direct):
Nd 0.250 0.250 0.001
Nd 0.750 0.750 0.999
Sn 0.250 0.070 0.500
Sn 0.250 0.430 0.500
Sn 0.250 0.750 0.499
Sn 0.750 0.250 0.501
Sn 0.750 0.570 0.500
Sn 0.750 0.930 0.500
Au 0.250 0.583 0.000
Au 0.250 0.917 0.000
Au 0.750 0.083 0.000
Au 0.750 0.417 0.000

Top 10 peaks for 10 to 80 degrees two-theta, low angle first:
2θ (°), d [Å], Rel. int.
34.0, 2.633, 1000
37.5, 2.401, 197
39.6, 2.274, 158
41.4, 2.181, 150
55.7, 1.651, 119
57.0, 1.615, 119
65.4, 1.427, 156
68.4, 1.372, 121
70.8, 1.331, 125
71.7, 1.317, 118

No. 3
Diffraction record for KPrSmSbO6. The powder X-ray diffraction pattern is simulated, not measured: it uses the GGA-PBE geometry in Alexandria and Cu Kα X-rays.
Intensities are scaled so that the largest is 1000.

Cell and atoms:
Unit cell a=5.987 b=5.987 c=5.987 alpha=60.00 beta=60.00 gamma=60.00
Positions (direct):
K 0.000 0.000 0.000
Pr 0.500 0.500 0.500
Sm 0.750 0.750 0.750
Sb 0.250 0.250 0.250
O 0.015 0.015 0.485
O 0.015 0.485 0.015
O 0.015 0.485 0.485
O 0.485 0.015 0.015
O 0.485 0.015 0.485
O 0.485 0.485 0.015

Top 10 peaks for 10 to 80 degrees two-theta, low angle first:
2θ (°), d [Å], Rel. int.
18.1, 4.888, 128
21.0, 4.233, 104
29.8, 2.993, 1000
35.2, 2.553, 82
42.7, 2.117, 313
48.1, 1.893, 42
53.0, 1.728, 399
62.0, 1.497, 192
70.3, 1.339, 176
78.2, 1.222, 62

No. 4
Diffraction record for Nd4NiCl5. The powder X-ray diffraction pattern is simulated, not measured: it uses the GGA-PBE geometry in Alexandria and Cu Kα X-rays.
Intensities are scaled so that the largest is 1000.

Cell and atoms:
Unit cell a=9.438 b=9.438 c=8.429 alpha=105.37 beta=105.37 gamma=24.42
Positions (direct):
Nd 0.002 0.002 0.276
Nd 0.345 0.345 0.395
Nd 0.655 0.655 0.605
Nd 0.998 0.998 0.724
Ni 0.500 0.500 0.500
Cl 0.165 0.165 0.850
Cl 0.173 0.173 0.364
Cl 0.500 0.500 0.000
Cl 0.827 0.827 0.636
Cl 0.835 0.835 0.150

Top 10 peaks for 10 to 80 degrees two-theta, low angle first:
2θ (°), d [Å], Rel. int.
10.9, 8.113, 867
24.8, 3.596, 185
26.9, 3.310, 231
30.2, 2.959, 539
30.9, 2.897, 1000
32.2, 2.778, 211
43.0, 2.103, 477
44.4, 2.039, 356
45.4, 1.996, 182
55.5, 1.655, 182

No. 5
Diffraction record for K5H2Se4. The powder X-ray diffraction pattern is simulated, not measured: it uses the GGA-PBE geometry in Alexandria and Cu Kα X-rays.
Intensities are scaled so that the largest is 1000.

Cell and atoms:
Unit cell a=8.837 b=8.837 c=8.226 alpha=91.06 beta=91.06 gamma=37.36
Positions (direct):
K 0.000 0.000 0.000
K 0.335 0.335 0.957
K 0.370 0.370 0.509
K 0.630 0.630 0.491
K 0.665 0.665 0.043
H 0.117 0.117 0.283
H 0.883 0.883 0.717
Se 0.205 0.205 0.261
Se 0.487 0.487 0.199
Se 0.513 0.513 0.801
Se 0.795 0.795 0.739

Top 10 peaks for 10 to 80 degrees two-theta, low angle first:
2θ (°), d [Å], Rel. int.
15.0, 5.925, 272
16.5, 5.362, 512
19.7, 4.505, 262
19.8, 4.479, 223
24.0, 3.701, 406
31.1, 2.878, 792
31.6, 2.834, 1000
36.9, 2.435, 417
40.1, 2.248, 199
41.0, 2.203, 211

No. 6
Diffraction record for Sr3Mg9Hg2. The powder X-ray diffraction pattern is simulated, not measured: it uses the GGA-PBE geometry in Alexandria and Cu Kα X-rays.
Intensities are scaled so that the largest is 1000.

Cell and atoms:
Unit cell a=9.424 b=9.424 c=9.424 alpha=149.28 beta=108.91 gamma=79.41
Positions (direct):
Sr 0.000 0.000 0.000
Sr 0.312 0.312 0.000
Sr 0.688 0.688 0.000
Mg 0.029 0.673 0.356
Mg 0.161 0.881 0.280
Mg 0.318 0.673 0.644
Mg 0.399 0.119 0.280
Mg 0.500 0.000 0.500
Mg 0.601 0.881 0.720
Mg 0.682 0.327 0.356
Mg 0.839 0.119 0.720
Mg 0.971 0.327 0.644
Hg 0.287 0.500 0.787
Hg 0.713 0.500 0.213

Top 10 peaks for 10 to 80 degrees two-theta, low angle first:
2θ (°), d [Å], Rel. int.
12.2, 7.250, 502
18.8, 4.721, 364
20.3, 4.371, 385
24.9, 3.576, 436
30.5, 2.933, 1000
30.7, 2.914, 322
32.8, 2.731, 253
35.8, 2.508, 266
36.0, 2.496, 290
41.7, 2.167, 221

No. 7
Diffraction record for PmSm8Th4. The powder X-ray diffraction pattern is simulated, not measured: it uses the GGA-PBE geometry in Alexandria and Cu Kα X-rays.
Intensities are scaled so that the largest is 1000.

Cell and atoms:
Unit cell a=7.889 b=7.889 c=7.889 alpha=90.96 beta=90.96 gamma=90.96
Positions (direct):
Pm 0.000 0.000 0.000
Sm 0.253 0.735 0.735
Sm 0.262 0.262 0.262
Sm 0.265 0.265 0.747
Sm 0.265 0.747 0.265
Sm 0.735 0.253 0.735
Sm 0.735 0.735 0.253
Sm 0.738 0.738 0.738
Sm 0.747 0.265 0.265
Th 0.000 0.000 0.500
Th 0.000 0.500 0.000
Th 0.500 0.000 0.000
Th 0.500 0.500 0.500

Top 10 peaks for 10 to 80 degrees two-theta, low angle first:
2θ (°), d [Å], Rel. int.
19.4, 4.579, 343
19.8, 4.478, 147
31.8, 2.812, 1000
32.4, 2.765, 934
37.8, 2.382, 177
46.0, 1.972, 351
56.7, 1.624, 192
57.0, 1.614, 369
58.1, 1.588, 163
75.9, 1.253, 156

No. 8
Diffraction record for LaPm4PrTm2. The powder X-ray diffraction pattern is simulated, not measured: it uses the GGA-PBE geometry in Alexandria and Cu Kα X-rays.
Intensities are scaled so that the largest is 1000.

Cell and atoms:
Unit cell a=6.297 b=6.297 c=10.286 alpha=114.20 beta=114.20 gamma=48.11
Positions (direct):
La 0.000 0.000 0.000
Pm 0.250 0.250 0.375
Pm 0.250 0.250 0.874
Pm 0.750 0.750 0.126
Pm 0.750 0.750 0.625
Pr 0.000 0.000 0.500
Tm 0.500 0.500 0.251
Tm 0.500 0.500 0.749

Top 10 peaks for 10 to 80 degrees two-theta, low angle first:
2θ (°), d [Å], Rel. int.
19.3, 4.595, 6
30.1, 2.966, 1000
34.9, 2.569, 507
50.2, 1.817, 242
50.2, 1.816, 121
59.6, 1.550, 217
59.7, 1.548, 216
62.6, 1.483, 125
73.7, 1.285, 39
73.8, 1.283, 19